Record 1
Structure and simulated powder XRD pattern of Zr4Ni2H9 (a crystal structure in OQMD, relaxed with PBE; a wavelength of 1.5418 Å).
Intensities are scaled so that the largest is 100.

Crystal structure
```
data_Zr4Ni2H9
_chemical_formula_sum 'Zr16 Ni8 H36'
_cell_length_a 6.784
_cell_length_b 8.819
_cell_length_c 8.856
_cell_angle_alpha 80.01
_cell_angle_beta 89.89
_cell_angle_gamma 89.73
_symmetry_space_group_name_H-M 'P -1'
_symmetry_Int_Tables_number 2
loop_
_symmetry_equiv_pos_as_xyz
'x,y,z'
'-x,-y,-z'
loop_
_atom_site_label
_atom_site_type_symbol
_atom_site_fract_x
_atom_site_fract_y
_atom_site_fract_z
_atom_site_occupancy
Zr1 Zr 0.074 0.079 0.325 1
Zr2 Zr 0.085 0.662 0.419 1
Zr3 Zr 0.088 0.579 0.836 1
Zr4 Zr 0.097 0.167 0.919 1
Zr5 Zr 0.403 0.833 0.581 1
Zr6 Zr 0.412 0.421 0.664 1
Zr7 Zr 0.415 0.338 0.081 1
Zr8 Zr 0.426 0.920 0.175 1
Ni1 Ni 0.248 0.374 0.378 1
Ni2 Ni 0.249 0.849 0.899 1
Ni3 Ni 0.251 0.151 0.601 1
Ni4 Ni 0.251 0.626 0.123 1
H1 H 0.031 0.636 0.197 1
H2 H 0.040 0.943 0.889 1
H3 H 0.047 0.142 0.699 1
H4 H 0.123 0.502 0.624 1
H5 H 0.124 0.380 0.003 1
H6 H 0.125 0.750 0.634 1
H7 H 0.163 0.298 0.238 1
H8 H 0.166 0.996 0.545 1
H9 H 0.245 0.877 0.372 1
H10 H 0.255 0.123 0.128 1
H11 H 0.335 0.004 0.955 1
H12 H 0.338 0.702 0.263 1
H13 H 0.375 0.251 0.867 1
H14 H 0.376 0.499 0.876 1
H15 H 0.376 0.621 0.497 1
H16 H 0.454 0.858 0.801 1
H17 H 0.461 0.057 0.611 1
H18 H 0.469 0.364 0.303 1
```

The 6 most intense peaks (2θ = 15–90°), in order of falling intensity:
| d [Å] | I (rel.) |
| --- | --- |
| 2.677 | 100 |
| 2.666 | 33 |
| 2.146 | 23 |
| 2.446 | 23 |
| 2.140 | 22 |
| 2.180 | 20 |



Record 2
Structure and simulated powder XRD pattern of ErScCu2As4 (a crystal structure in OQMD, relaxed with PBE; a wavelength of 1.5418 Å).
Intensities are scaled so that the largest is 100.

Crystal structure
```
data_ErScCu2As4
_chemical_formula_sum 'Er1 Sc1 Cu2 As4'
_cell_length_a 3.847
_cell_length_b 3.847
_cell_length_c 9.616
_cell_angle_alpha 90.00
_cell_angle_beta 90.00
_cell_angle_gamma 90.00
_symmetry_space_group_name_H-M 'P 4 m m'
_symmetry_Int_Tables_number 99
loop_
_symmetry_equiv_pos_as_xyz
'x,y,z'
'-y,x,z'
'-x,-y,z'
'y,-x,z'
'-x,y,z'
'y,x,z'
'x,-y,z'
'-y,-x,z'
loop_
_atom_site_label
_atom_site_type_symbol
_atom_site_fract_x
_atom_site_fract_y
_atom_site_fract_z
_atom_site_occupancy
Er1 Er 0.000 0.000 0.000 1
Sc1 Sc 0.500 0.500 0.531 1
Cu1 Cu 0.000 0.500 0.272 1
As1 As 0.000 0.000 0.439 1
As2 As 0.000 0.500 0.758 1
As3 As 0.500 0.500 0.104 1
```

The 6 most intense peaks (2θ = 15–90°), in order of falling intensity:
| d [Å] | I (rel.) |
| --- | --- |
| 2.368 | 100 |
| 1.924 | 35 |
| 3.004 | 27 |
| 1.179 | 21 |
| 2.463 | 14 |
| 2.404 | 13 |



What is the formula in the first record?
Zr4Ni2H9